# Cu2GeSe3
Calculated X-ray powder pattern, Cu Ka. Input: a DFT-relaxed cell (GGA-PBE, the Materials Project).
Lines closer than 0.1° are merged.

Largest 10 diffraction maxima, sorted by position, 10 to 90 degrees two-theta:
2θ/deg  d [Å]  I_rel
27.39  3.257  361
27.50  3.244  1000
45.57  1.990  661
45.73  1.984  326
54.00  1.698  238
54.13  1.694  299
66.50  1.406  152
84.12  1.151  78
84.37  1.148  105
84.50  1.147  102

```
Cu2GeSe3
1.0
3.4344 -5.9641 0.0000
3.4344 5.9641 0.0000
-2.2943 0.0000 6.5133
Cu Ge Se
4 2 6
direct
0.0843 0.9157 0.5000 Cu
0.2588 0.7598 0.0017 Cu
0.7598 0.2588 0.5017 Cu
0.9157 0.0843 0.0000 Cu
0.4285 0.6020 0.5104 Ge
0.6020 0.4285 0.0104 Ge
0.1299 0.6309 0.6283 Se
0.2874 0.4601 0.1207 Se
0.4601 0.2874 0.6207 Se
0.6309 0.1299 0.1283 Se
0.8045 0.9723 0.6263 Se
0.9723 0.8045 0.1263 Se
```


# Zr2Se3
Calculated X-ray powder pattern, Cu Ka. Input: a DFT-relaxed cell (GGA-PBE, the Materials Project).
Lines closer than 0.1° are merged.

Largest 10 diffraction maxima, sorted by position, 10 to 90 degrees two-theta:
2θ/deg  d [Å]  I_rel
13.94  6.354  91
27.70  3.221  89
33.24  2.695  1000
47.15  1.928  240
47.33  1.921  120
48.24  1.887  342
59.77  1.547  117
69.86  1.346  72
80.26  1.196  98
89.22  1.098  76

```
Zr2Se3
1.0
3.2652 -5.6642 0.0000
3.2652 5.6642 0.0000
-2.2054 0.0000 6.3541
Zr Se
4 6
direct
0.0000 0.0000 0.0000 Zr
0.1708 0.8292 0.5000 Zr
0.5000 0.5000 0.5000 Zr
0.8292 0.1708 0.5000 Zr
0.0785 0.4203 0.2359 Se
0.2604 0.2604 0.7568 Se
0.4203 0.0785 0.2359 Se
0.5797 0.9215 0.7641 Se
0.7396 0.7396 0.2432 Se
0.9215 0.5797 0.7641 Se
```